(1)
# TeSeF2
Computed powder diffractogram, copper Kα. Input: DFT lattice parameters and positions (GGA-PBE).
Kinematic intensities with the Lorentz-polarization factor, no thermal factor.

Largest 12 diffraction maxima, by angle, 2θ from 15° to 90°:
15.88 deg, d 5.583, I 43.2, hkl 0 0 1
21.39 deg, d 4.154, I 100.0, hkl 1 0 0
21.91 deg, d 4.057, I 75.9, hkl 0 1 -1
22.97 deg, d 3.871, I 55.6, hkl 1 -1 0
23.79 deg, d 3.740, I 33.8, hkl 1 0 -1
26.39 deg, d 3.377, I 24.3, hkl 1 -1 1
32.07 deg, d 2.791, I 36.4, hkl 0 0 2
34.68 deg, d 2.587, I 28.7, hkl 1 1 -1
39.36 deg, d 2.289, I 23.8, hkl 2 -1 0
40.94 deg, d 2.204, I 18.4, hkl 0 2 -1
42.69 deg, d 2.118, I 14.2, hkl 1 0 2
44.90 deg, d 2.019, I 18.6, hkl 0 1 2

Cell and atoms:
```
data_TeSeF2
_symmetry_space_group_name_H-M 'P 1'
_symmetry_Int_Tables_number 1
_symmetry_space_group_name_Hall 'P 1'
_cell_length_a 4.609
_cell_length_b 4.775
_cell_length_c 5.959
_cell_angle_alpha 106.48
_cell_angle_beta 94.61
_cell_angle_gamma 112.53
loop_
_atom_site_label
_atom_site_type_symbol
_atom_site_fract_x
_atom_site_fract_y
_atom_site_fract_z
_atom_site_occupancy
Te1 Te 0.000 0.000 0.000 1
Se1 Se 0.154 0.259 0.413 1
F1 F 0.359 0.874 0.928 1
F2 F 0.760 0.542 0.960 1
```

(2)
# Hf3NbIn
Computed powder diffractogram, copper Kα. Input: DFT lattice parameters and positions (GGA-PBE).
Kinematic intensities with the Lorentz-polarization factor, no thermal factor.

Largest 12 diffraction maxima, by angle, 2θ from 15° to 90°:
25.47 deg, d 3.498, I 5.2, hkl 1 1 1
29.65 deg, d 3.013, I 3.3, hkl 1 3 1
35.50 deg, d 2.529, I 57.3, hkl 2 0 0
36.73 deg, d 2.447, I 100.0, hkl 1 5 1
51.08 deg, d 1.788, I 20.4, hkl 2 0 2
54.73 deg, d 1.677, I 6.5, hkl 0 10 0
64.55 deg, d 1.444, I 38.0, hkl 3 5 1
66.95 deg, d 1.398, I 14.2, hkl 2 10 0
75.14 deg, d 1.264, I 7.7, hkl 4 0 0
78.13 deg, d 1.223, I 9.5, hkl 2 10 2
85.95 deg, d 1.131, I 9.8, hkl 4 0 2
86.68 deg, d 1.123, I 9.0, hkl 3 5 3

Cell and atoms:
```
data_Hf3NbIn
_symmetry_space_group_name_H-M 'C m c m'
_symmetry_Int_Tables_number 63
_symmetry_space_group_name_Hall '-C 2c 2'
_cell_length_a 5.058
_cell_length_b 16.771
_cell_length_c 5.058
_cell_angle_alpha 90.00
_cell_angle_beta 90.00
_cell_angle_gamma 90.00
loop_
_atom_site_label
_atom_site_type_symbol
_atom_site_fract_x
_atom_site_fract_y
_atom_site_fract_z
_atom_site_occupancy
Hf1 Hf 0.000 0.052 0.250 1
Hf2 Hf 0.000 0.155 0.750 1
Hf3 Hf 0.000 0.337 0.750 1
Nb1 Nb 0.000 0.238 0.250 1
In1 In 0.000 0.446 0.250 1
```

(3)
# NiRh4
Computed powder diffractogram, copper Kα. Input: DFT lattice parameters and positions (GGA-PBE).
Kinematic intensities with the Lorentz-polarization factor, no thermal factor.

Largest 12 diffraction maxima, by angle, 2θ from 15° to 90°:
41.04 deg, d 2.199, I 100.0, hkl 1 1 0
41.37 deg, d 2.183, I 97.1, hkl 0 1 5
47.77 deg, d 1.904, I 63.5, hkl 1 0 5
48.30 deg, d 1.884, I 30.9, hkl 0 2 0
69.41 deg, d 1.354, I 10.1, hkl 2 0 0
70.30 deg, d 1.339, I 48.1, hkl 1 2 5
84.14 deg, d 1.151, I 23.7, hkl 2 1 5
84.79 deg, d 1.143, I 22.8, hkl 1 1 10
85.14 deg, d 1.140, I 11.6, hkl 1 3 0
85.35 deg, d 1.137, I 11.4, hkl 0 3 5
89.03 deg, d 1.100, I 10.6, hkl 2 2 0
89.89 deg, d 1.091, I 10.1, hkl 0 2 10

Cell and atoms:
```
data_NiRh4
_symmetry_space_group_name_H-M 'I m m m'
_symmetry_Int_Tables_number 71
_symmetry_space_group_name_Hall '-I 2 2'
_cell_length_a 2.708
_cell_length_b 3.769
_cell_length_c 13.385
_cell_angle_alpha 90.00
_cell_angle_beta 90.00
_cell_angle_gamma 90.00
loop_
_atom_site_label
_atom_site_type_symbol
_atom_site_fract_x
_atom_site_fract_y
_atom_site_fract_z
_atom_site_occupancy
Ni1 Ni 0.000 0.000 0.000 1
Rh1 Rh 0.000 0.000 0.198 1
Rh2 Rh 0.000 0.000 0.404 1
```

(4)
# Tm3Ru2
Computed powder diffractogram, copper Kα. Input: DFT lattice parameters and positions (GGA-PBE).
Kinematic intensities with the Lorentz-polarization factor, no thermal factor.

Largest 12 diffraction maxima, by angle, 2θ from 15° to 90°:
30.55 deg, d 2.927, I 100.0, hkl 1 1 1
33.57 deg, d 2.670, I 51.7, hkl 2 0 1
36.49 deg, d 2.463, I 47.6, hkl 2 1 0
38.65 deg, d 2.329, I 17.6, hkl 0 0 2
41.16 deg, d 2.193, I 12.7, hkl 1 0 2
41.48 deg, d 2.177, I 23.6, hkl 1 2 1
41.58 deg, d 2.172, I 34.7, hkl 3 0 0
45.82 deg, d 1.980, I 10.2, hkl 1 1 2
54.20 deg, d 1.692, I 24.7, hkl 1 2 2
64.97 deg, d 1.435, I 11.7, hkl 1 1 3
65.36 deg, d 1.428, I 10.9, hkl 1 3 2
65.61 deg, d 1.423, I 30.8, hkl 3 2 1

Cell and atoms:
```
data_Tm3Ru2
_symmetry_space_group_name_H-M 'P 63/m'
_symmetry_Int_Tables_number 176
_symmetry_space_group_name_Hall '-P 6c'
_cell_length_a 7.5231
_cell_length_b 7.5231
_cell_length_c 4.6586
_cell_angle_alpha 90.00
_cell_angle_beta 90.00
_cell_angle_gamma 120.00
loop_
_atom_site_label
_atom_site_type_symbol
_atom_site_fract_x
_atom_site_fract_y
_atom_site_fract_z
_atom_site_occupancy
Tm1 Tm 0.0805 0.6948 0.2500 1
Ru1 Ru 0.0000 0.0000 0.0000 1
Ru2 Ru 0.3333 0.6667 0.7500 1
```

(5)
# BaCd2Au8
Computed powder diffractogram, copper Kα. Input: DFT lattice parameters and positions (GGA-PBE).
Kinematic intensities with the Lorentz-polarization factor, no thermal factor.

Largest 12 diffraction maxima, by angle, 2θ from 15° to 90°:
18.15 deg, d 4.888, I 52.7, hkl 0 0 2
24.55 deg, d 3.625, I 11.7, hkl 1 1 1
32.43 deg, d 2.760, I 32.7, hkl 2 0 0
36.77 deg, d 2.444, I 17.4, hkl 0 0 4
37.41 deg, d 2.404, I 100.0, hkl 2 0 2
42.94 deg, d 2.106, I 19.2, hkl 2 0 3
46.51 deg, d 1.953, I 38.8, hkl 2 2 0
50.34 deg, d 1.813, I 16.1, hkl 2 2 2
57.79 deg, d 1.596, I 12.8, hkl 2 0 5
60.72 deg, d 1.525, I 16.3, hkl 2 2 4
67.88 deg, d 1.381, I 20.5, hkl 4 0 0
80.19 deg, d 1.197, I 22.6, hkl 4 2 2

Cell and atoms:
```
data_BaCd2Au8
_symmetry_space_group_name_H-M 'P 4/m m m'
_symmetry_Int_Tables_number 123
_symmetry_space_group_name_Hall '-P 4 2'
_cell_length_a 5.521
_cell_length_b 5.521
_cell_length_c 9.776
_cell_angle_alpha 90.00
_cell_angle_beta 90.00
_cell_angle_gamma 90.00
loop_
_atom_site_label
_atom_site_type_symbol
_atom_site_fract_x
_atom_site_fract_y
_atom_site_fract_z
_atom_site_occupancy
Ba1 Ba 0.000 0.000 0.000 1
Cd1 Cd 0.000 0.500 0.500 1
Au1 Au 0.252 0.252 0.281 1
```

(6)
# TaGa2Pd
Computed powder diffractogram, copper Kα. Input: DFT lattice parameters and positions (GGA-PBE).
Kinematic intensities with the Lorentz-polarization factor, no thermal factor.

Largest 12 diffraction maxima, by angle, 2θ from 15° to 90°:
23.93 deg, d 3.719, I 10.1, hkl 0 0 2
30.71 deg, d 2.912, I 10.2, hkl 1 0 0
33.04 deg, d 2.711, I 6.4, hkl 1 0 1
39.30 deg, d 2.293, I 100.0, hkl 1 0 2
43.98 deg, d 2.059, I 36.9, hkl 1 1 0
48.98 deg, d 1.860, I 12.6, hkl 0 0 4
50.68 deg, d 1.801, I 5.5, hkl 1 1 2
63.95 deg, d 1.456, I 11.9, hkl 2 0 0
67.92 deg, d 1.380, I 18.6, hkl 1 1 4
77.70 deg, d 1.229, I 26.6, hkl 2 1 2
84.52 deg, d 1.146, I 10.3, hkl 2 0 4
85.04 deg, d 1.141, I 9.4, hkl 1 0 6

Cell and atoms:
```
data_TaGa2Pd
_symmetry_space_group_name_H-M 'P 4/m m m'
_symmetry_Int_Tables_number 123
_symmetry_space_group_name_Hall '-P 4 2'
_cell_length_a 2.912
_cell_length_b 2.912
_cell_length_c 7.438
_cell_angle_alpha 90.00
_cell_angle_beta 90.00
_cell_angle_gamma 90.00
loop_
_atom_site_label
_atom_site_type_symbol
_atom_site_fract_x
_atom_site_fract_y
_atom_site_fract_z
_atom_site_occupancy
Ta1 Ta 0.000 0.000 0.000 1
Ga1 Ga 0.500 0.500 0.268 1
Pd1 Pd 0.000 0.000 0.500 1
```